(1)
The following is a computed PXRD pattern of U2PaTi. It was derived from the PBE geometry in Alexandria, using Cu Kα (weighted mean of Kα1 and Kα2).
Lines closer than 0.1° are merged.

Main lines, sorted by position (10° ≤ 2θ ≤ 80°):
Position (°2θ), d/Å, intensity, index
19.19, 4.626, 20, 2 0 0
19.47, 4.558, 16, 0 0 1
21.55, 4.123, 19, 2 0 -1
35.05, 2.560, 100, 1 1 1
36.75, 2.446, 47, 2 0 -2
37.52, 2.397, 86, 3 1 -1
38.94, 2.313, 32, 4 0 0
49.88, 1.828, 20, 0 2 0
63.50, 1.465, 36, 2 2 -2
68.27, 1.374, 15, 5 1 -3

Structural model:
Unit cell a=10.002 b=3.657 c=4.928 alpha=90.00 beta=112.32 gamma=90.00
Space group Cm (No. 8)
One atom of each set of equivalent atoms:
U 0.000 0.000 0.000 (multiplicity 2)
U 0.202 0.500 0.186 (multiplicity 2)
Pa 0.229 0.000 0.699 (multiplicity 2)
Ti 0.469 0.000 0.475 (multiplicity 2)

(2)
The following is a computed PXRD pattern of NaTlS2. It was derived from the PBE geometry in Alexandria, using Cu Kα (weighted mean of Kα1 and Kα2).
Lines closer than 0.1° are merged.

Main lines, sorted by position (10° ≤ 2θ ≤ 80°):
Position (°2θ), d/Å, intensity, index
16.16, 5.485, 100, 1 1 0
20.91, 4.249, 25, 0 2 0
24.79, 3.592, 36, 2 0 0
31.16, 2.870, 32, 1 1 2
32.65, 2.742, 17, 2 2 0
33.99, 2.638, 20, 0 2 2
35.34, 2.540, 24, 2 2 1
36.60, 2.455, 49, 2 0 2
51.82, 1.764, 20, 2 4 1
57.38, 1.606, 16, 1 5 1

Structural model:
Unit cell a=7.182 b=8.494 c=6.736 alpha=90.00 beta=90.00 gamma=90.00
Space group Pbcn (No. 60)
One atom of each set of equivalent atoms:
Na 0.000 0.109 0.250 (multiplicity 4)
Tl 0.000 0.446 0.750 (multiplicity 4)
S 0.205 0.356 0.033 (multiplicity 8)

(3)
The following is a computed PXRD pattern of TaBe10Cu. It was derived from the PBE geometry in Alexandria, using Cu Kα (weighted mean of Kα1 and Kα2).
Lines closer than 0.1° are merged.

Main lines, sorted by position (10° ≤ 2θ ≤ 80°):
Position (°2θ), d/Å, intensity, index
11.71, 7.560, 59, 0 0 1
23.54, 3.780, 51, 0 0 2
24.06, 3.699, 100, 0 1 1
25.69, 3.468, 48, 1 0 0
35.12, 2.555, 47, 1 0 2
35.48, 2.530, 94, 1 1 1
41.69, 2.166, 32, 0 1 3
49.27, 1.849, 21, 0 2 2
49.62, 1.837, 46, 1 1 3
50.45, 1.809, 22, 1 2 0

Structural model:
Unit cell a=3.468 b=4.241 c=7.560 alpha=90.00 beta=90.00 gamma=90.00
Space group Pmmm (No. 47)
One atom of each set of equivalent atoms:
Ta 0.000 0.000 0.000 (multiplicity 1)
Be 0.000 0.000 0.340 (multiplicity 2)
Be 0.000 0.500 0.189 (multiplicity 2)
Be 0.500 0.000 0.500 (multiplicity 1)
Be 0.500 0.239 0.242 (multiplicity 4)
Be 0.500 0.500 0.000 (multiplicity 1)
Cu 0.000 0.500 0.500 (multiplicity 1)

(4)
The following is a computed PXRD pattern of Ac2Al2I. It was derived from the PBE geometry in Alexandria, using Cu Kα (weighted mean of Kα1 and Kα2).
Lines closer than 0.1° are merged.

Main lines, sorted by position (10° ≤ 2θ ≤ 80°):
Position (°2θ), d/Å, intensity, index
18.91, 4.693, 20, 0 0 6
23.19, 3.835, 34, 1 0 1
23.84, 3.733, 67, 0 1 2
27.97, 3.190, 100, 0 1 5
32.09, 2.789, 89, 1 0 7
40.36, 2.235, 58, 1 1 0
49.82, 1.830, 21, 2 0 5
52.46, 1.744, 23, 0 2 7
56.90, 1.618, 39, 1 1 12
68.20, 1.375, 21, 2 1 7

Structural model:
Unit cell a=4.4699 b=4.4699 c=28.1561 alpha=90.00 beta=90.00 gamma=120.00
Space group R-3m (No. 166, hexagonal axes)
One atom of each set of equivalent atoms:
Ac 0.0000 0.0000 0.0786 (multiplicity 6)
Al 0.0000 0.0000 0.3304 (multiplicity 6)
I 0.0000 0.0000 0.5000 (multiplicity 3)

(5)
The following is a computed PXRD pattern of La3Sc2Pb3. It was derived from the PBE geometry in Alexandria, using Cu Kα (weighted mean of Kα1 and Kα2).
Lines closer than 0.1° are merged.

Main lines, sorted by position (10° ≤ 2θ ≤ 80°):
Position (°2θ), d/Å, intensity, index
19.12, 4.642, 27, 1 1 0
27.27, 3.270, 37, 0 0 2
29.40, 3.038, 12, 2 1 0
32.49, 2.756, 100, 2 1 1
33.49, 2.676, 57, 3 0 0
42.85, 2.110, 28, 3 1 1
51.60, 1.771, 28, 2 1 3
57.32, 1.607, 13, 5 0 0
59.28, 1.559, 11, 3 1 3
64.58, 1.443, 18, 5 0 2

Structural model:
Unit cell a=9.2833 b=9.2833 c=6.5405 alpha=90.00 beta=90.00 gamma=120.00
Space group P6_3/mcm (No. 193)
One atom of each set of equivalent atoms:
La 0.0000 0.2452 0.2500 (multiplicity 6)
Sc 0.3333 0.6667 0.0000 (multiplicity 4)
Pb 0.0000 0.4011 0.7500 (multiplicity 6)

(6)
The following is a computed PXRD pattern of Ir4RuRh3. It was derived from the PBE geometry in Alexandria, using Cu Kα (weighted mean of Kα1 and Kα2).
Lines closer than 0.1° are merged.

Main lines, sorted by position (10° ≤ 2θ ≤ 80°):
Position (°2θ), d/Å, intensity, index
23.05, 3.858, 8, 2 0 0
32.89, 2.723, 7, 1 1 -2
40.55, 2.225, 100, 1 1 2
47.16, 1.927, 32, 4 0 0
47.21, 1.925, 16, 2 0 -4
53.17, 1.723, 4, 4 0 -4
58.65, 1.574, 3, 5 1 -2
68.93, 1.362, 31, 4 2 0
73.81, 1.284, 2, 4 2 -4
78.56, 1.218, 1, 3 1 -6

Structural model:
Unit cell a=8.626 b=3.851 c=7.701 alpha=90.00 beta=116.55 gamma=90.00
Space group C2/m (No. 12)
One atom of each set of equivalent atoms:
Ir 0.249 0.000 0.123 (multiplicity 4)
Ir 0.249 0.500 0.373 (multiplicity 4)
Ru 0.000 0.500 0.000 (multiplicity 2)
Rh 0.000 0.500 0.500 (multiplicity 2)
Rh 0.001 0.000 0.248 (multiplicity 4)

(7)
The following is a computed PXRD pattern of Na6RhF8. It was derived from the PBE geometry in Alexandria, using Cu Kα (weighted mean of Kα1 and Kα2).
Lines closer than 0.1° are merged.

Main lines, sorted by position (10° ≤ 2θ ≤ 80°):
Position (°2θ), d/Å, intensity, index
16.35, 5.423, 100, 1 1 1
18.90, 4.696, 12, 2 0 0
31.59, 2.832, 42, 3 1 1
33.04, 2.711, 11, 2 2 2
38.33, 2.348, 97, 4 0 0
41.93, 2.155, 13, 3 3 1
50.49, 1.808, 21, 5 1 1
55.33, 1.660, 57, 4 4 0
58.10, 1.588, 19, 5 3 1
69.31, 1.356, 17, 4 4 4

Structural model:
Unit cell a=9.392 b=9.392 c=9.392 alpha=90.00 beta=90.00 gamma=90.00
Space group Fm-3m (No. 225)
One atom of each set of equivalent atoms:
Na 0.000 0.250 0.250 (multiplicity 24)
Rh 0.000 0.000 0.000 (multiplicity 4)
F 0.000 0.000 0.231 (multiplicity 24)
F 0.250 0.250 0.250 (multiplicity 8)

(8)
The following is a computed PXRD pattern of RbNbO3F. It was derived from the PBE geometry in Alexandria, using Cu Kα (weighted mean of Kα1 and Kα2).
Lines closer than 0.1° are merged.

Main lines, sorted by position (10° ≤ 2θ ≤ 80°):
Position (°2θ), d/Å, intensity, index
16.70, 5.308, 100, 1 1 0
19.34, 4.588, 22, 0 2 1
22.10, 4.023, 69, 0 4 0
22.92, 3.881, 34, 1 3 0
27.59, 3.233, 40, 1 3 -1
28.40, 3.143, 57, 1 3 1
31.83, 2.811, 33, 2 0 0
32.04, 2.793, 33, 0 0 2
39.12, 2.303, 22, 2 4 0
45.89, 1.978, 28, 1 7 1

Structural model:
Unit cell a=5.628 b=16.090 c=5.591 alpha=90.00 beta=92.50 gamma=90.00
Space group C2/c (No. 15)
One atom of each set of equivalent atoms:
Rb 0.000 0.242 0.250 (multiplicity 4)
Nb 0.000 0.462 0.750 (multiplicity 4)
O 0.000 0.347 0.750 (multiplicity 4)
O 0.213 0.477 0.463 (multiplicity 8)
F 0.000 0.215 0.750 (multiplicity 4)

Q: Which formula does entry 6 have?
A: Ir4RuRh3